Entry 1:
Starting from DFT lattice parameters and positions (PBE), the powder X-ray diffraction pattern of Rb2MgTlI5 was calculated for Cu Kα.
Kinematic intensities with the Lorentz-polarization factor, no thermal factor.

```
Rb2MgTlI5
1.0
2.329 -10.403 0.000
2.329 10.403 0.000
0.000 0.000 17.298
Rb Mg Tl I
4 2 2 10
Cartesian
2.329 8.831 8.649 Rb
2.329 7.397 2.585 Rb
2.329 -7.397 11.234 Rb
2.329 -8.831 0.000 Rb
2.329 5.553 15.388 Mg
2.329 -5.553 6.739 Mg
2.329 0.985 5.267 Tl
2.329 -0.985 13.916 Tl
2.329 8.350 16.118 I
2.329 5.214 8.777 I
2.329 4.342 4.792 I
2.329 2.770 14.623 I
2.329 0.185 10.750 I
2.329 -0.185 2.101 I
2.329 -2.770 5.974 I
2.329 -4.342 13.441 I
2.329 -5.214 0.128 I
2.329 -8.350 7.469 I
```

The 10 most intense peaks (2θ from 10° to 90°), by angle:
d (Å), intensity
8.649, 44
4.024, 100
3.570, 68
3.400, 50
3.217, 44
3.133, 88
3.055, 78
2.753, 42
2.329, 54
2.310, 49

Entry 2:
Starting from DFT lattice parameters and positions (PBE), the powder X-ray diffraction pattern of MgScI2 was calculated for Cu Kα.
Kinematic intensities with the Lorentz-polarization factor, no thermal factor.

```
MgScI2
1.0
-5.139 5.139 3.119
5.139 -5.139 3.119
5.139 5.139 -3.119
Mg Sc I
2 2 4
Cartesian
0.000 0.000 0.000 Mg
0.000 5.139 1.560 Mg
5.139 0.000 1.560 Sc
0.000 0.000 3.119 Sc
2.569 -1.105 2.339 I
4.033 2.569 0.780 I
2.569 6.244 -0.780 I
1.105 2.569 3.899 I
```

The 10 most intense peaks (2θ from 10° to 90°), by angle:
d (Å), intensity
5.333, 69
3.700, 100
3.250, 59
2.866, 34
2.666, 22
2.593, 35
2.298, 28
1.983, 23
1.913, 20
1.825, 20